Record 1
Calculated powder X-ray diffraction pattern
Compound: La16Tb6Dy7
Radiation: Cu Kα (weighted mean of Kα1 and Kα2)
Structure: a structure optimized by DFT (GGA-PBE)

Principal peaks in the range 10° ≤ 2θ ≤ 90°, by intensity:
2.869 Å, I = 100
1.656 Å, I = 29
2.028 Å, I = 15
1.283 Å, I = 9
1.434 Å, I = 8
3.123 Å, I = 6
3.312 Å, I = 6
2.743 Å, I = 5

Structural model:
```
La16Tb6Dy7
1.0
0.000 8.113 8.113
8.113 0.000 8.113
8.113 8.113 0.000
La Tb Dy
16 6 7
direct
0.053 0.649 0.649
0.125 0.125 0.125
0.125 0.125 0.624
0.125 0.624 0.125
0.351 0.351 0.351
0.351 0.351 0.947
0.351 0.947 0.351
0.376 0.875 0.875
0.624 0.125 0.125
0.649 0.053 0.649
0.649 0.649 0.053
0.649 0.649 0.649
0.875 0.376 0.875
0.875 0.875 0.376
0.875 0.875 0.875
0.947 0.351 0.351
0.261 0.261 0.739
0.261 0.739 0.261
0.261 0.739 0.739
0.739 0.261 0.261
0.739 0.261 0.739
0.739 0.739 0.261
0.000 0.000 0.000
0.000 0.000 0.500
0.000 0.500 0.000
0.000 0.500 0.500
0.500 0.000 0.000
0.500 0.000 0.500
0.500 0.500 0.000
```

***

Record 2
Calculated powder X-ray diffraction pattern
Compound: NaYF4
Radiation: Cu Kα (weighted mean of Kα1 and Kα2)
Structure: a structure optimized by DFT (GGA-PBE)

Principal peaks in the range 10° ≤ 2θ ≤ 90°, by intensity:
2.112 Å, I = 100
2.952 Å, I = 90
5.238 Å, I = 89
1.732 Å, I = 81
3.024 Å, I = 75
1.746 Å, I = 43
2.308 Å, I = 31
4.225 Å, I = 31

Structural model:
```
NaYF4
1.0
6.048 0.000 0.000
-3.024 5.238 0.000
0.000 0.000 7.147
Na Y F
3 3 12
direct
0.000 0.000 0.000
0.000 0.000 0.499
0.667 0.333 0.888
0.333 0.667 0.142
0.333 0.667 0.652
0.667 0.333 0.391
0.086 0.687 0.395
0.101 0.701 0.896
0.299 0.399 0.896
0.313 0.399 0.395
0.382 0.072 0.162
0.386 0.073 0.624
0.601 0.899 0.896
0.601 0.914 0.395
0.687 0.614 0.624
0.690 0.618 0.162
0.927 0.313 0.624
0.928 0.310 0.162
```

***

Record 3
Calculated powder X-ray diffraction pattern
Compound: Ca3HoTl2F12
Radiation: Cu Kα (weighted mean of Kα1 and Kα2)
Structure: a structure optimized by DFT (GGA-PBE)

Principal peaks in the range 10° ≤ 2θ ≤ 90°, by intensity:
5.694 Å, I = 100
3.927 Å, I = 67
3.550 Å, I = 63
3.233 Å, I = 56
1.945 Å, I = 35
1.964 Å, I = 33
2.187 Å, I = 32
2.724 Å, I = 31

Structural model:
```
Ca3HoTl2F12
1.0
3.927 2.267 6.938
-3.927 2.267 6.938
0.000 -4.535 6.938
Ca Ho Tl F
3 1 2 12
direct
0.000 0.500 0.500
0.500 0.000 0.500
0.500 0.500 0.000
0.500 0.500 0.500
0.078 0.078 0.078
0.922 0.922 0.922
0.142 0.142 0.616
0.142 0.616 0.142
0.186 0.560 0.560
0.384 0.858 0.858
0.440 0.440 0.814
0.440 0.814 0.440
0.560 0.186 0.560
0.560 0.560 0.186
0.616 0.142 0.142
0.814 0.440 0.440
0.858 0.384 0.858
0.858 0.858 0.384
```

***

Record 4
Calculated powder X-ray diffraction pattern
Compound: Tb5DyTm2Th
Radiation: Cu Kα (weighted mean of Kα1 and Kα2)
Structure: a structure optimized by DFT (GGA-PBE)

Principal peaks in the range 10° ≤ 2θ ≤ 90°, by intensity:
2.797 Å, I = 100
2.778 Å, I = 60
2.846 Å, I = 59
2.605 Å, I = 47
3.360 Å, I = 21
1.633 Å, I = 20
2.703 Å, I = 18
1.459 Å, I = 16

Structural model:
```
Tb5DyTm2Th
1.0
2.846 -10.752 0.000
2.846 10.752 0.000
0.000 0.000 9.655
Tb Dy Tm Th
10 2 4 2
direct
0.014 0.986 0.500
0.273 0.727 0.804
0.303 0.697 0.198
0.399 0.601 0.525
0.468 0.532 0.226
0.532 0.468 0.726
0.601 0.399 0.025
0.697 0.303 0.698
0.727 0.273 0.304
0.986 0.014 0.000
0.189 0.811 0.500
0.811 0.189 0.000
0.116 0.884 0.814
0.128 0.872 0.195
0.872 0.128 0.695
0.884 0.116 0.314
0.406 0.594 0.904
0.594 0.406 0.404
```

***

Record 5
Calculated powder X-ray diffraction pattern
Compound: CaPu2VN4
Radiation: Cu Kα (weighted mean of Kα1 and Kα2)
Structure: a structure optimized by DFT (GGA-PBE)

Principal peaks in the range 10° ≤ 2θ ≤ 90°, by intensity:
5.969 Å, I = 100
2.864 Å, I = 71
2.354 Å, I = 68
3.289 Å, I = 50
2.923 Å, I = 46
2.210 Å, I = 39
1.927 Å, I = 36
1.511 Å, I = 35

Structural model:
```
CaPu2VN4
1.0
1.700 -5.845 0.000
1.700 5.845 0.000
0.000 0.000 11.938
Ca Pu V N
2 4 2 8
direct
0.098 0.902 0.750
0.902 0.098 0.250
0.369 0.631 0.541
0.369 0.631 0.959
0.631 0.369 0.041
0.631 0.369 0.459
0.170 0.830 0.250
0.830 0.170 0.750
0.000 0.000 0.000
0.000 0.000 0.500
0.263 0.737 0.126
0.263 0.737 0.374
0.418 0.582 0.750
0.582 0.418 0.250
0.737 0.263 0.626
0.737 0.263 0.874
```

***

Record 6
Calculated powder X-ray diffraction pattern
Compound: Sr3CaHf4O12
Radiation: Cu Kα (weighted mean of Kα1 and Kα2)
Structure: a structure optimized by DFT (GGA-PBE)

Principal peaks in the range 10° ≤ 2θ ≤ 90°, by intensity:
2.890 Å, I = 100
4.088 Å, I = 42
2.042 Å, I = 27
2.908 Å, I = 25
2.875 Å, I = 24
1.665 Å, I = 22
1.675 Å, I = 20
1.445 Å, I = 16

Structural model:
```
Sr3CaHf4O12
1.0
5.751 0.000 0.000
0.000 8.170 0.000
-0.015 0.000 5.815
Sr Ca Hf O
3 1 4 12
direct
0.000 0.000 0.000
0.014 0.500 0.939
0.515 0.000 0.493
0.502 0.500 0.427
0.008 0.252 0.468
0.008 0.748 0.468
0.509 0.252 0.966
0.509 0.748 0.966
0.078 0.000 0.461
0.225 0.286 0.183
0.225 0.714 0.183
0.302 0.300 0.675
0.302 0.700 0.675
0.437 0.000 0.943
0.579 0.500 0.006
0.726 0.210 0.250
0.726 0.790 0.250
0.799 0.217 0.756
0.799 0.783 0.756
0.917 0.500 0.479
```